K2S2O5: theoretical powder diffraction line list (Cu Ka), based on a crystal structure in the Materials Project, relaxed with GGA-PBE.
Lines closer than 0.1° are merged.

Crystal structure
```
K2S2O5
1.0
7.169 0.000 0.000
0.000 6.229 0.000
-1.550 0.000 7.574
K S O
4 4 10
Direct
0.144 0.250 0.174
0.284 0.750 0.571
0.716 0.250 0.429
0.856 0.750 0.826
0.196 0.250 0.739
0.472 0.750 0.181
0.528 0.250 0.819
0.804 0.750 0.261
0.133 0.052 0.819
0.133 0.448 0.819
0.141 0.250 0.543
0.428 0.551 0.276
0.428 0.949 0.276
0.572 0.051 0.724
0.572 0.449 0.724
0.859 0.750 0.457
0.867 0.552 0.181
0.867 0.948 0.181
```

Most intense lines, 2θ = 5–70°, in order of falling intensity:
2theta	d [Å]	I_rel
29.19	3.059	100
28.32	3.151	86
23.71	3.753	63
23.49	3.787	51
28.66	3.115	41
38.46	2.341	35
18.44	4.811	30
38.90	2.315	28
30.12	2.967	25
19.04	4.660	25
41.19	2.192	24
50.56	1.805	22